The following is a theoretical powder diffraction line list of NaTl2Cr2O7. It was derived from DFT lattice parameters and positions (PBE+U), using λ = 1.5418 Å (Cu Kα).
Neutral-atom scattering factors, no anomalous dispersion.

Peak list (10 most intense, 2θ = 10–80°, most intense first)
2θ/deg  I/Imax  (hkl)
26.4  100  0 1 5
30.5  73  1 1 0
32.8  57  1 1 3
11.8  48  0 0 3
19.2  44  0 1 2
47.7  27  1 1 9
51.8  27  1 2 5
40.8  25  2 0 5
23.6  23  1 0 4
54.2  19  3 0 0

abc: 5.8586 5.8586 22.5880
angles: 90.00 90.00 120.00
Space group R32 (No. 155, hexagonal axes)
Inequivalent atoms, fractional coordinates:
Na: 0.0000 0.0000 0.0000 (multiplicity 3)
Tl: 0.0000 0.0000 0.2098 (multiplicity 6)
Cr: 0.0000 0.0000 0.4210 (multiplicity 6)
O: 0.0000 0.0000 0.5000 (multiplicity 3)
O: 0.0321 0.2875 0.6007 (multiplicity 18)